# 1
This entry pairs a crystal structure of Sm4Y3Se8 with its simulated PXRD pattern. Radiation: Cu Kα (weighted mean of Kα1 and Kα2). Structure: a structure optimized by DFT (GGA-PBE).
Kinematic intensities with the Lorentz-polarization factor, no thermal factor.

The 10 most intense peaks (10° ≤ 2θ ≤ 90°), low angle first:
two_theta	I/Imax
13.17	88
25.35	79
30.70	1000
43.97	734
54.58	256
63.93	118
72.56	217
72.62	108
80.81	163
80.89	80

```
data_Sm4Y3Se8
_chemical_formula_sum 'Sm4 Y3 Se8'
_cell_length_a 8.236
_cell_length_b 8.236
_cell_length_c 8.231
_cell_angle_alpha 119.95
_cell_angle_beta 119.95
_cell_angle_gamma 90.03
_symmetry_space_group_name_H-M 'P 1'
_symmetry_Int_Tables_number 1
loop_
_symmetry_equiv_pos_as_xyz
'x,y,z'
loop_
_atom_site_label
_atom_site_type_symbol
_atom_site_fract_x
_atom_site_fract_y
_atom_site_fract_z
_atom_site_occupancy
Sm1 Sm 0.000 0.000 0.000 1
Sm2 Sm 0.000 0.500 0.000 1
Sm3 Sm 0.500 0.000 0.000 1
Sm4 Sm 0.500 0.500 0.500 1
Y1 Y 0.000 0.500 0.500 1
Y2 Y 0.500 0.000 0.500 1
Y3 Y 0.500 0.500 0.000 1
Se1 Se 0.245 0.755 0.500 1
Se2 Se 0.247 0.247 0.505 1
Se3 Se 0.247 0.247 0.990 1
Se4 Se 0.252 0.748 0.000 1
Se5 Se 0.748 0.252 0.000 1
Se6 Se 0.753 0.753 0.010 1
Se7 Se 0.753 0.753 0.495 1
Se8 Se 0.755 0.245 0.500 1
```

=====

# 2
This entry pairs a crystal structure of Sm6YSe8 with its simulated PXRD pattern. Radiation: Cu Kα (weighted mean of Kα1 and Kα2). Structure: a structure optimized by DFT (GGA-PBE).
Kinematic intensities with the Lorentz-polarization factor, no thermal factor.

The 10 most intense peaks (10° ≤ 2θ ≤ 90°), low angle first:
two_theta	I/Imax
15.08	86
21.38	78
26.27	88
30.42	1000
34.11	48
43.56	742
54.06	261
63.30	121
71.84	333
79.98	249

```
data_Sm6YSe8
_chemical_formula_sum 'Sm6 Y1 Se8'
_cell_length_a 8.311
_cell_length_b 8.311
_cell_length_c 8.311
_cell_angle_alpha 60.00
_cell_angle_beta 60.00
_cell_angle_gamma 60.00
_symmetry_space_group_name_H-M 'P 1'
_symmetry_Int_Tables_number 1
loop_
_symmetry_equiv_pos_as_xyz
'x,y,z'
loop_
_atom_site_label
_atom_site_type_symbol
_atom_site_fract_x
_atom_site_fract_y
_atom_site_fract_z
_atom_site_occupancy
Sm1 Sm 0.000 0.000 0.500 1
Sm2 Sm 0.000 0.500 0.000 1
Sm3 Sm 0.000 0.500 0.500 1
Sm4 Sm 0.500 0.000 0.000 1
Sm5 Sm 0.500 0.000 0.500 1
Sm6 Sm 0.500 0.500 0.000 1
Y1 Y 0.000 0.000 0.000 1
Se1 Se 0.249 0.249 0.751 1
Se2 Se 0.249 0.751 0.249 1
Se3 Se 0.249 0.751 0.751 1
Se4 Se 0.250 0.250 0.250 1
Se5 Se 0.750 0.750 0.750 1
Se6 Se 0.751 0.249 0.249 1
Se7 Se 0.751 0.249 0.751 1
Se8 Se 0.751 0.751 0.249 1
```

=====

# 3
This entry pairs a crystal structure of Sm3Y5Se8 with its simulated PXRD pattern. Radiation: Cu Kα (weighted mean of Kα1 and Kα2). Structure: a structure optimized by DFT (GGA-PBE).
Kinematic intensities with the Lorentz-polarization factor, no thermal factor.

The 10 most intense peaks (10° ≤ 2θ ≤ 90°), low angle first:
two_theta	I/Imax
30.68	1000
43.85	368
44.04	365
54.31	64
54.63	191
63.90	118
72.40	161
72.68	161
80.86	121
80.99	60

```
data_Sm3Y5Se8
_chemical_formula_sum 'Sm3 Y5 Se8'
_cell_length_a 8.259
_cell_length_b 8.259
_cell_length_c 8.259
_cell_angle_alpha 59.73
_cell_angle_beta 59.73
_cell_angle_gamma 59.73
_symmetry_space_group_name_H-M 'P 1'
_symmetry_Int_Tables_number 1
loop_
_symmetry_equiv_pos_as_xyz
'x,y,z'
loop_
_atom_site_label
_atom_site_type_symbol
_atom_site_fract_x
_atom_site_fract_y
_atom_site_fract_z
_atom_site_occupancy
Sm1 Sm 0.000 0.500 0.500 1
Sm2 Sm 0.500 0.000 0.500 1
Sm3 Sm 0.500 0.500 0.000 1
Y1 Y 0.000 0.000 0.000 1
Y2 Y 0.000 0.000 0.500 1
Y3 Y 0.000 0.500 0.000 1
Y4 Y 0.500 0.000 0.000 1
Y5 Y 0.500 0.500 0.500 1
Se1 Se 0.244 0.750 0.750 1
Se2 Se 0.247 0.247 0.247 1
Se3 Se 0.250 0.250 0.756 1
Se4 Se 0.250 0.756 0.250 1
Se5 Se 0.750 0.244 0.750 1
Se6 Se 0.750 0.750 0.244 1
Se7 Se 0.753 0.753 0.753 1
Se8 Se 0.756 0.250 0.250 1
```

=====

# 4
This entry pairs a crystal structure of Sm2Y3Se8 with its simulated PXRD pattern. Radiation: Cu Kα (weighted mean of Kα1 and Kα2). Structure: a structure optimized by DFT (GGA-PBE).
Kinematic intensities with the Lorentz-polarization factor, no thermal factor.

The 10 most intense peaks (10° ≤ 2θ ≤ 90°), low angle first:
two_theta	I/Imax
15.24	220
19.87	565
22.45	421
25.18	323
26.42	376
33.29	1000
33.78	479
40.03	956
43.70	364
44.37	710

```
data_Sm2Y3Se8
_chemical_formula_sum 'Sm2 Y3 Se8'
_cell_length_a 8.313
_cell_length_b 8.313
_cell_length_c 7.040
_cell_angle_alpha 106.80
_cell_angle_beta 106.80
_cell_angle_gamma 59.78
_symmetry_space_group_name_H-M 'P 1'
_symmetry_Int_Tables_number 1
loop_
_symmetry_equiv_pos_as_xyz
'x,y,z'
loop_
_atom_site_label
_atom_site_type_symbol
_atom_site_fract_x
_atom_site_fract_y
_atom_site_fract_z
_atom_site_occupancy
Sm1 Sm 0.241 0.241 0.162 1
Sm2 Sm 0.759 0.759 0.838 1
Y1 Y 0.239 0.761 0.500 1
Y2 Y 0.500 0.500 0.000 1
Y3 Y 0.761 0.239 0.500 1
Se1 Se 0.121 0.121 0.418 1
Se2 Se 0.141 0.617 0.087 1
Se3 Se 0.383 0.383 0.578 1
Se4 Se 0.383 0.859 0.913 1
Se5 Se 0.617 0.141 0.087 1
Se6 Se 0.617 0.617 0.422 1
Se7 Se 0.859 0.383 0.913 1
Se8 Se 0.879 0.879 0.582 1
```

=====

# 5
This entry pairs a crystal structure of Sm2ZrSe with its simulated PXRD pattern. Radiation: Cu Kα (weighted mean of Kα1 and Kα2). Structure: a structure optimized by DFT (GGA-PBE).
Kinematic intensities with the Lorentz-polarization factor, no thermal factor.

The 10 most intense peaks (10° ≤ 2θ ≤ 90°), low angle first:
two_theta	I/Imax
26.64	382
28.17	817
28.64	810
31.78	756
36.97	565
41.26	1000
49.56	596
57.15	273
66.40	242
87.19	235

```
data_Sm2ZrSe
_chemical_formula_sum 'Sm2 Zr1 Se1'
_cell_length_a 10.259
_cell_length_b 10.259
_cell_length_c 10.259
_cell_angle_alpha 20.65
_cell_angle_beta 20.65
_cell_angle_gamma 20.65
_symmetry_space_group_name_H-M 'P 1'
_symmetry_Int_Tables_number 1
loop_
_symmetry_equiv_pos_as_xyz
'x,y,z'
loop_
_atom_site_label
_atom_site_type_symbol
_atom_site_fract_x
_atom_site_fract_y
_atom_site_fract_z
_atom_site_occupancy
Sm1 Sm 0.103 0.103 0.103 1
Sm2 Sm 0.897 0.897 0.897 1
Zr1 Zr 0.000 0.000 0.000 1
Se1 Se 0.500 0.500 0.500 1
```

=====

# 6
This entry pairs a crystal structure of Sn2Se3 with its simulated PXRD pattern. Radiation: Cu Kα (weighted mean of Kα1 and Kα2). Structure: a structure optimized by DFT (GGA-PBE).
Kinematic intensities with the Lorentz-polarization factor, no thermal factor.

The 10 most intense peaks (10° ≤ 2θ ≤ 90°), low angle first:
two_theta	I/Imax
11.43	352
14.57	399
29.43	1000
31.15	803
34.24	172
41.71	403
44.95	172
45.57	240
46.92	279
55.16	170

```
data_Sn2Se3
_chemical_formula_sum 'Sn8 Se12'
_cell_length_a 15.484
_cell_length_b 3.981
_cell_length_c 9.816
_cell_angle_alpha 90.00
_cell_angle_beta 90.00
_cell_angle_gamma 90.00
_symmetry_space_group_name_H-M 'P 1'
_symmetry_Int_Tables_number 1
loop_
_symmetry_equiv_pos_as_xyz
'x,y,z'
loop_
_atom_site_label
_atom_site_type_symbol
_atom_site_fract_x
_atom_site_fract_y
_atom_site_fract_z
_atom_site_occupancy
Sn1 Sn 0.046 0.250 0.156 1
Sn2 Sn 0.144 0.750 0.467 1
Sn3 Sn 0.356 0.250 0.967 1
Sn4 Sn 0.454 0.750 0.656 1
Sn5 Sn 0.546 0.250 0.344 1
Sn6 Sn 0.644 0.750 0.033 1
Sn7 Sn 0.856 0.250 0.533 1
Sn8 Sn 0.954 0.750 0.844 1
Se1 Se 0.015 0.250 0.671 1
Se2 Se 0.106 0.750 0.983 1
Se3 Se 0.199 0.250 0.286 1
Se4 Se 0.301 0.750 0.786 1
Se5 Se 0.394 0.250 0.483 1
Se6 Se 0.485 0.750 0.171 1
Se7 Se 0.515 0.250 0.829 1
Se8 Se 0.606 0.750 0.517 1
Se9 Se 0.699 0.250 0.214 1
Se10 Se 0.801 0.750 0.714 1
Se11 Se 0.894 0.250 0.017 1
Se12 Se 0.985 0.750 0.329 1
```

=====

# 7
This entry pairs a crystal structure of Sr4Sn2Se9 with its simulated PXRD pattern. Radiation: Cu Kα (weighted mean of Kα1 and Kα2). Structure: a structure optimized by DFT (GGA-PBE).
Kinematic intensities with the Lorentz-polarization factor, no thermal factor.

The 10 most intense peaks (10° ≤ 2θ ≤ 90°), low angle first:
two_theta	I/Imax
27.17	1000
29.95	222
30.09	347
30.85	637
31.10	238
31.50	798
32.10	335
41.31	564
44.14	210
52.86	346

```
data_Sr4Sn2Se9
_chemical_formula_sum 'Sr16 Sn8 Se36'
_cell_length_a 12.118
_cell_length_b 16.342
_cell_length_c 8.741
_cell_angle_alpha 90.00
_cell_angle_beta 90.00
_cell_angle_gamma 90.00
_symmetry_space_group_name_H-M 'P 1'
_symmetry_Int_Tables_number 1
loop_
_symmetry_equiv_pos_as_xyz
'x,y,z'
loop_
_atom_site_label
_atom_site_type_symbol
_atom_site_fract_x
_atom_site_fract_y
_atom_site_fract_z
_atom_site_occupancy
Sr1 Sr 0.112 0.174 0.247 1
Sr2 Sr 0.112 0.174 0.753 1
Sr3 Sr 0.246 0.928 0.251 1
Sr4 Sr 0.246 0.928 0.749 1
Sr5 Sr 0.254 0.428 0.251 1
Sr6 Sr 0.254 0.428 0.749 1
Sr7 Sr 0.388 0.674 0.247 1
Sr8 Sr 0.388 0.674 0.753 1
Sr9 Sr 0.612 0.326 0.247 1
Sr10 Sr 0.612 0.326 0.753 1
Sr11 Sr 0.746 0.572 0.251 1
Sr12 Sr 0.746 0.572 0.749 1
Sr13 Sr 0.754 0.072 0.251 1
Sr14 Sr 0.754 0.072 0.749 1
Sr15 Sr 0.888 0.826 0.247 1
Sr16 Sr 0.888 0.826 0.753 1
Sn1 Sn 0.049 0.605 0.500 1
Sn2 Sn 0.090 0.678 0.000 1
Sn3 Sn 0.410 0.178 0.000 1
Sn4 Sn 0.451 0.105 0.500 1
Sn5 Sn 0.549 0.895 0.500 1
Sn6 Sn 0.590 0.822 0.000 1
Sn7 Sn 0.910 0.322 0.000 1
Sn8 Sn 0.951 0.395 0.500 1
Se1 Se 0.000 0.500 0.274 1
Se2 Se 0.000 0.500 0.726 1
Se3 Se 0.036 0.930 0.500 1
Se4 Se 0.041 0.931 0.000 1
Se5 Se 0.124 0.320 0.000 1
Se6 Se 0.131 0.750 0.257 1
Se7 Se 0.131 0.750 0.743 1
Se8 Se 0.134 0.314 0.500 1
Se9 Se 0.242 0.074 0.500 1
Se10 Se 0.242 0.569 0.000 1
Se11 Se 0.258 0.069 0.000 1
Se12 Se 0.258 0.574 0.500 1
Se13 Se 0.366 0.814 0.500 1
Se14 Se 0.369 0.250 0.257 1
Se15 Se 0.369 0.250 0.743 1
Se16 Se 0.376 0.820 0.000 1
Se17 Se 0.459 0.431 0.000 1
Se18 Se 0.464 0.430 0.500 1
Se19 Se 0.500 0.000 0.274 1
Se20 Se 0.500 0.000 0.726 1
Se21 Se 0.536 0.570 0.500 1
Se22 Se 0.541 0.569 0.000 1
Se23 Se 0.624 0.180 0.000 1
Se24 Se 0.631 0.750 0.257 1
Se25 Se 0.631 0.750 0.743 1
Se26 Se 0.634 0.186 0.500 1
Se27 Se 0.742 0.426 0.500 1
Se28 Se 0.742 0.931 0.000 1
Se29 Se 0.758 0.431 0.000 1
Se30 Se 0.758 0.926 0.500 1
Se31 Se 0.866 0.686 0.500 1
Se32 Se 0.869 0.250 0.257 1
Se33 Se 0.869 0.250 0.743 1
Se34 Se 0.876 0.680 0.000 1
Se35 Se 0.959 0.069 0.000 1
Se36 Se 0.964 0.070 0.500 1
```

=====

# 8
This entry pairs a crystal structure of SrSn4Se5 with its simulated PXRD pattern. Radiation: Cu Kα (weighted mean of Kα1 and Kα2). Structure: a structure optimized by DFT (GGA-PBE).
Kinematic intensities with the Lorentz-polarization factor, no thermal factor.

The 10 most intense peaks (10° ≤ 2θ ≤ 90°), low angle first:
two_theta	I/Imax
29.15	1000
29.27	496
41.70	379
41.79	755
51.76	404
60.45	127
68.56	264
68.74	176
76.12	130
76.27	199

```
data_SrSn4Se5
_chemical_formula_sum 'Sr1 Sn4 Se5'
_cell_length_a 11.467
_cell_length_b 11.467
_cell_length_c 11.467
_cell_angle_alpha 158.25
_cell_angle_beta 149.14
_cell_angle_gamma 38.07
_symmetry_space_group_name_H-M 'P 1'
_symmetry_Int_Tables_number 1
loop_
_symmetry_equiv_pos_as_xyz
'x,y,z'
loop_
_atom_site_label
_atom_site_type_symbol
_atom_site_fract_x
_atom_site_fract_y
_atom_site_fract_z
_atom_site_occupancy
Sr1 Sr 0.000 0.000 0.000 1
Sn1 Sn 0.202 0.202 0.000 1
Sn2 Sn 0.399 0.399 0.000 1
Sn3 Sn 0.601 0.601 0.000 1
Sn4 Sn 0.798 0.798 0.000 1
Se1 Se 0.103 0.603 0.500 1
Se2 Se 0.301 0.801 0.500 1
Se3 Se 0.500 0.000 0.500 1
Se4 Se 0.699 0.199 0.500 1
Se5 Se 0.897 0.397 0.500 1
```

=====

# 9
This entry pairs a crystal structure of TbSnSe3 with its simulated PXRD pattern. Radiation: Cu Kα (weighted mean of Kα1 and Kα2). Structure: a structure optimized by DFT (GGA-PBE).
Kinematic intensities with the Lorentz-polarization factor, no thermal factor.

The 10 most intense peaks (10° ≤ 2θ ≤ 90°), low angle first:
two_theta	I/Imax
14.63	646
25.49	194
28.47	509
29.20	200
36.09	1000
44.92	452
46.39	130
58.93	241
70.76	235
77.04	223

```
data_TbSnSe3
_chemical_formula_sum 'Tb2 Sn2 Se6'
_cell_length_a 6.990
_cell_length_b 6.990
_cell_length_c 7.087
_cell_angle_alpha 90.00
_cell_angle_beta 90.00
_cell_angle_gamma 120.00
_symmetry_space_group_name_H-M 'P 1'
_symmetry_Int_Tables_number 1
loop_
_symmetry_equiv_pos_as_xyz
'x,y,z'
loop_
_atom_site_label
_atom_site_type_symbol
_atom_site_fract_x
_atom_site_fract_y
_atom_site_fract_z
_atom_site_occupancy
Tb1 Tb 0.000 0.000 0.000 1
Tb2 Tb 0.000 0.000 0.500 1
Sn1 Sn 0.667 0.333 0.000 1
Sn2 Sn 0.667 0.333 0.500 1
Se1 Se 0.332 0.009 0.250 1
Se2 Se 0.332 0.323 0.750 1
Se3 Se 0.677 0.009 0.750 1
Se4 Se 0.677 0.668 0.250 1
Se5 Se 0.991 0.323 0.250 1
Se6 Se 0.991 0.668 0.750 1
```

=====

# 10
This entry pairs a crystal structure of TbSnSe4 with its simulated PXRD pattern. Radiation: Cu Kα (weighted mean of Kα1 and Kα2). Structure: a structure optimized by DFT (GGA-PBE).
Kinematic intensities with the Lorentz-polarization factor, no thermal factor.

The 10 most intense peaks (10° ≤ 2θ ≤ 90°), low angle first:
two_theta	I/Imax
22.64	1000
31.13	330
34.77	555
38.63	968
41.89	429
48.41	142
49.99	131
53.97	190
64.90	215
72.35	127

```
data_TbSnSe4
_chemical_formula_sum 'Tb2 Sn2 Se8'
_cell_length_a 7.299
_cell_length_b 7.299
_cell_length_c 6.057
_cell_angle_alpha 90.00
_cell_angle_beta 90.00
_cell_angle_gamma 90.00
_symmetry_space_group_name_H-M 'P 1'
_symmetry_Int_Tables_number 1
loop_
_symmetry_equiv_pos_as_xyz
'x,y,z'
loop_
_atom_site_label
_atom_site_type_symbol
_atom_site_fract_x
_atom_site_fract_y
_atom_site_fract_z
_atom_site_occupancy
Tb1 Tb 0.250 0.250 0.000 1
Tb2 Tb 0.750 0.750 0.000 1
Sn1 Sn 0.250 0.750 0.500 1
Sn2 Sn 0.750 0.250 0.500 1
Se1 Se 0.046 0.546 0.237 1
Se2 Se 0.046 0.954 0.763 1
Se3 Se 0.454 0.546 0.763 1
Se4 Se 0.454 0.954 0.237 1
Se5 Se 0.546 0.046 0.763 1
Se6 Se 0.546 0.454 0.237 1
Se7 Se 0.954 0.046 0.237 1
Se8 Se 0.954 0.454 0.763 1
```

=====

# 11
This entry pairs a crystal structure of Tb6SnSe4 with its simulated PXRD pattern. Radiation: Cu Kα (weighted mean of Kα1 and Kα2). Structure: a structure optimized by DFT (GGA-PBE).
Kinematic intensities with the Lorentz-polarization factor, no thermal factor.

The 10 most intense peaks (10° ≤ 2θ ≤ 90°), low angle first:
two_theta	I/Imax
28.27	302
29.10	797
29.77	634
30.71	1000
32.23	366
41.56	306
43.46	388
44.05	263
44.51	282
53.14	349

```
data_Tb6SnSe4
_chemical_formula_sum 'Tb12 Sn2 Se8'
_cell_length_a 6.956
_cell_length_b 6.956
_cell_length_c 20.765
_cell_angle_alpha 90.00
_cell_angle_beta 90.00
_cell_angle_gamma 145.17
_symmetry_space_group_name_H-M 'P 1'
_symmetry_Int_Tables_number 1
loop_
_symmetry_equiv_pos_as_xyz
'x,y,z'
loop_
_atom_site_label
_atom_site_type_symbol
_atom_site_fract_x
_atom_site_fract_y
_atom_site_fract_z
_atom_site_occupancy
Tb1 Tb 0.000 0.000 0.000 1
Tb2 Tb 0.000 0.000 0.500 1
Tb3 Tb 0.161 0.839 0.750 1
Tb4 Tb 0.269 0.731 0.094 1
Tb5 Tb 0.269 0.731 0.406 1
Tb6 Tb 0.451 0.549 0.664 1
Tb7 Tb 0.451 0.549 0.836 1
Tb8 Tb 0.549 0.451 0.164 1
Tb9 Tb 0.549 0.451 0.336 1
Tb10 Tb 0.731 0.269 0.594 1
Tb11 Tb 0.731 0.269 0.906 1
Tb12 Tb 0.839 0.161 0.250 1
Sn1 Sn 0.168 0.832 0.250 1
Sn2 Sn 0.832 0.168 0.750 1
Se1 Se 0.088 0.912 0.624 1
Se2 Se 0.088 0.912 0.876 1
Se3 Se 0.359 0.641 0.537 1
Se4 Se 0.359 0.641 0.963 1
Se5 Se 0.641 0.359 0.037 1
Se6 Se 0.641 0.359 0.463 1
Se7 Se 0.912 0.088 0.124 1
Se8 Se 0.912 0.088 0.376 1
```